# 1
For V2CdMoO8, the PBE+U geometry in Alexandria gives the computed powder XRD pattern in this record (Cu Kα X-rays).
Kinematic intensities with the Lorentz-polarization factor, no thermal factor.

Principal peaks in the range 10 to 90 degrees two-theta, by intensity:
d (Å), 2θ (°), I_rel
3.499, 25.46, 100
2.643, 33.92, 69
1.806, 50.53, 57
4.662, 19.03, 21
1.459, 63.81, 17
1.749, 52.30, 17
2.474, 36.31, 16
1.564, 59.05, 15
1.106, 88.38, 15
2.185, 41.31, 11

Atomic structure:
a = 5.8527 Å, b = 5.8527 Å, c = 5.8527 Å
α = 106.58°, β = 106.58°, γ = 115.42°
Fractional positions:
V1 0.0000 0.0000 0.0000
V2 0.7500 0.2500 0.5000
Cd1 0.2500 0.7500 0.5000
Mo1 0.5000 0.5000 0.0000
O1 0.1145 0.4102 0.7043
O2 0.1920 0.0106 0.8186
O3 0.1920 0.3734 0.1814
O4 0.5898 0.2941 0.7043
O5 0.5898 0.8855 0.2957
O6 0.6266 0.8080 0.8186
O7 0.7059 0.4102 0.2957
O8 0.9894 0.8080 0.1814

=====

# 2
For Cd4MoW3O16, the PBE+U geometry in Alexandria gives the computed powder XRD pattern in this record (Cu Kα X-rays).
Kinematic intensities with the Lorentz-polarization factor, no thermal factor.

Principal peaks in the range 10 to 90 degrees two-theta, by intensity:
d (Å), 2θ (°), I_rel
3.143, 28.40, 100
3.075, 29.04, 92
2.597, 34.54, 63
3.882, 22.91, 48
1.863, 48.88, 26
1.805, 50.57, 22
2.544, 35.28, 21
3.004, 29.74, 19
1.832, 49.78, 18
1.844, 49.43, 17

Atomic structure:
a = 7.8734 Å, b = 7.8734 Å, c = 5.1904 Å
α = 91.10°, β = 91.10°, γ = 99.44°
Fractional positions:
Cd1 0.2473 0.2473 0.0014
Cd2 0.4366 0.0623 0.4982
Cd3 0.7527 0.7527 0.9986
Cd4 0.9377 0.5634 0.5018
Mo1 0.7566 0.2434 0.0000
W1 0.2607 0.7393 0.0000
W2 0.4299 0.5701 0.5000
W3 0.9291 0.0709 0.5000
O1 0.0402 0.7146 0.8685
O2 0.1497 0.0944 0.6341
O3 0.1960 0.6035 0.3066
O4 0.2854 0.9598 0.1315
O5 0.2941 0.5056 0.8062
O6 0.3965 0.8040 0.6934
O7 0.4059 0.3502 0.3658
O8 0.4944 0.7059 0.1938
O9 0.5407 0.2167 0.8673
O10 0.6498 0.5941 0.6342
O11 0.6957 0.1047 0.3034
O12 0.7833 0.4593 0.1327
O13 0.7921 0.0061 0.8021
O14 0.8953 0.3043 0.6966
O15 0.9056 0.8503 0.3659
O16 0.9939 0.2079 0.1979

=====

# 3
For Cd4Mo3WO16, the PBE+U geometry in Alexandria gives the computed powder XRD pattern in this record (Cu Kα X-rays).
Kinematic intensities with the Lorentz-polarization factor, no thermal factor.

Principal peaks in the range 10 to 90 degrees two-theta, by intensity:
d (Å), 2θ (°), I_rel
3.114, 28.67, 100
1.932, 47.04, 30
1.596, 57.76, 26
2.629, 34.10, 20
1.251, 76.05, 18
1.691, 54.24, 16
2.849, 31.40, 14
1.859, 49.00, 13
1.557, 59.37, 11
1.211, 79.08, 5

Atomic structure:
a = 5.2579 Å, b = 5.2579 Å, c = 11.3941 Å
α = 90.00°, β = 90.00°, γ = 90.00°
Fractional positions:
Cd1 0.0000 0.0000 0.0000
Cd2 0.0000 0.5000 0.2498
Cd3 0.5000 0.0000 0.7502
Cd4 0.5000 0.5000 0.5000
Mo1 0.0000 0.0000 0.5000
Mo2 0.0000 0.5000 0.7502
Mo3 0.5000 0.0000 0.2498
W1 0.5000 0.5000 0.0000
O1 0.1559 0.7558 0.4137
O2 0.1596 0.2587 0.8369
O3 0.2423 0.6568 0.6634
O4 0.2442 0.1559 0.5863
O5 0.2536 0.3412 0.0871
O6 0.2587 0.8404 0.1631
O7 0.3412 0.7464 0.9129
O8 0.3432 0.2423 0.3366
O9 0.6568 0.7577 0.3366
O10 0.6588 0.2536 0.9129
O11 0.7413 0.1596 0.1631
O12 0.7464 0.6588 0.0871
O13 0.7558 0.8441 0.5863
O14 0.7577 0.3432 0.6634
O15 0.8404 0.7413 0.8369
O16 0.8441 0.2442 0.4137

=====

Please write out number 1 again, unchanged.
For V2CdMoO8, the PBE+U geometry in Alexandria gives the computed powder XRD pattern in this record (Cu Kα X-rays).
Kinematic intensities with the Lorentz-polarization factor, no thermal factor.

Principal peaks in the range 10 to 90 degrees two-theta, by intensity:
d (Å), 2θ (°), I_rel
3.499, 25.46, 100
2.643, 33.92, 69
1.806, 50.53, 57
4.662, 19.03, 21
1.459, 63.81, 17
1.749, 52.30, 17
2.474, 36.31, 16
1.564, 59.05, 15
1.106, 88.38, 15
2.185, 41.31, 11

Atomic structure:
a = 5.8527 Å, b = 5.8527 Å, c = 5.8527 Å
α = 106.58°, β = 106.58°, γ = 115.42°
Fractional positions:
V1 0.0000 0.0000 0.0000
V2 0.7500 0.2500 0.5000
Cd1 0.2500 0.7500 0.5000
Mo1 0.5000 0.5000 0.0000
O1 0.1145 0.4102 0.7043
O2 0.1920 0.0106 0.8186
O3 0.1920 0.3734 0.1814
O4 0.5898 0.2941 0.7043
O5 0.5898 0.8855 0.2957
O6 0.6266 0.8080 0.8186
O7 0.7059 0.4102 0.2957
O8 0.9894 0.8080 0.1814

=====

Repeat the first record exactly.
For V2CdMoO8, the PBE+U geometry in Alexandria gives the computed powder XRD pattern in this record (Cu Kα X-rays).
Kinematic intensities with the Lorentz-polarization factor, no thermal factor.

Principal peaks in the range 10 to 90 degrees two-theta, by intensity:
d (Å), 2θ (°), I_rel
3.499, 25.46, 100
2.643, 33.92, 69
1.806, 50.53, 57
4.662, 19.03, 21
1.459, 63.81, 17
1.749, 52.30, 17
2.474, 36.31, 16
1.564, 59.05, 15
1.106, 88.38, 15
2.185, 41.31, 11

Atomic structure:
a = 5.8527 Å, b = 5.8527 Å, c = 5.8527 Å
α = 106.58°, β = 106.58°, γ = 115.42°
Fractional positions:
V1 0.0000 0.0000 0.0000
V2 0.7500 0.2500 0.5000
Cd1 0.2500 0.7500 0.5000
Mo1 0.5000 0.5000 0.0000
O1 0.1145 0.4102 0.7043
O2 0.1920 0.0106 0.8186
O3 0.1920 0.3734 0.1814
O4 0.5898 0.2941 0.7043
O5 0.5898 0.8855 0.2957
O6 0.6266 0.8080 0.8186
O7 0.7059 0.4102 0.2957
O8 0.9894 0.8080 0.1814